No. 1
For TaHI2, DFT lattice parameters and positions (PBE) gives the simulated powder X-ray diffraction pattern in this record (Cu Kα, 1.54184 Å).
Intensities are scaled so that the largest is 100.

Crystal structure
```
8
Lattice="4.242 0.000 0.000 0.864 6.321 0.000 0.407 3.156 8.138" Properties=species:S:1:pos:R:3 pbc="T T T"
Ta 1.008 0.909 0.000
Ta 4.505 8.568 8.138
H 1.867 5.378 0.000
H 3.646 4.099 8.138
I 0.432 3.160 1.774
I 2.528 3.156 5.690
I 2.986 6.321 2.448
I 5.081 6.316 6.364
```

Principal peaks in the range 2θ from 10° to 90°, sorted by position:
- 2θ 10.87, I 100
- 2θ 15.04, I 28
- 2θ 24.41, I 91
- 2θ 30.90, I 35
- 2θ 31.74, I 70
- 2θ 33.04, I 21
- 2θ 35.98, I 29
- 2θ 38.86, I 28
- 2θ 39.51, I 19
- 2θ 45.84, I 24

=====

No. 2
For In6Hg4Bi, DFT lattice parameters and positions (PBE) gives the simulated powder X-ray diffraction pattern in this record (Cu Kα, 1.54184 Å).
Intensities are scaled so that the largest is 100.

Crystal structure
```
11
Lattice="6.707 0.000 0.000 0.443 6.994 0.000 2.013 2.211 6.641" Properties=species:S:1:pos:R:3 pbc="T T T"
In 0.000 0.000 0.000
In 1.172 2.290 1.781
In 3.497 7.727 3.997
In 5.231 6.248 6.343
In 5.216 5.303 2.151
In 6.820 3.742 4.617
Hg 3.751 3.775 4.603
Hg 4.042 1.276 1.069
Hg 6.636 7.776 3.950
Hg 8.454 6.077 6.147
Bi 1.871 5.397 2.400
```

Principal peaks in the range 2θ from 10° to 90°, sorted by position:
- 2θ 25.95, I 38
- 2θ 26.66, I 23
- 2θ 31.53, I 66
- 2θ 32.04, I 61
- 2θ 33.08, I 24
- 2θ 33.79, I 100
- 2θ 34.06, I 89
- 2θ 36.05, I 44
- 2θ 38.40, I 32
- 2θ 40.78, I 32

=====

No. 3
For Li2TlTeS4, DFT lattice parameters and positions (PBE) gives the simulated powder X-ray diffraction pattern in this record (Cu Kα, 1.54184 Å).
Intensities are scaled so that the largest is 100.

Crystal structure
```
16
Lattice="-3.849 3.896 5.585 3.849 -3.896 5.585 3.849 3.896 -5.585" Properties=species:S:1:pos:R:3 pbc="T T T"
Li 0.000 0.000 0.000
Li -1.925 1.948 2.793
Li 0.000 3.896 0.000
Li 1.925 1.948 2.793
Tl 1.925 1.948 -2.793
Tl 1.925 -1.948 2.793
Te 3.849 0.000 0.000
Te 0.000 0.000 5.585
S 3.849 0.156 2.679
S 1.959 1.948 0.155
S 5.740 1.948 0.155
S 0.000 0.156 2.906
S 3.849 3.741 2.679
S -1.891 1.948 5.430
S 1.891 1.948 5.430
S 0.000 3.741 2.906
```

Principal peaks in the range 2θ from 10° to 90°, sorted by position:
- 2θ 13.86, I 100
- 2θ 13.97, I 51
- 2θ 26.54, I 38
- 2θ 27.04, I 52
- 2θ 27.92, I 25
- 2θ 28.15, I 24
- 2θ 32.05, I 47
- 2θ 32.70, I 91
- 2θ 35.47, I 48
- 2θ 46.44, I 64